Theoretical powder XRD pattern of La2RePt2 for Cu Ka, from a cell relaxed with GGA-PBE.
Kinematic intensities with the Lorentz-polarization factor, no thermal factor.

Structure:
a = 7.090 Å, b = 7.090 Å, c = 4.546 Å
α = 90.00°, β = 90.00°, γ = 90.00°
Atoms (fractional coordinates):
La1 0.176 0.324 0.000
La2 0.324 0.824 0.000
La3 0.676 0.176 0.000
La4 0.824 0.676 0.000
Re1 0.000 0.000 0.500
Re2 0.500 0.500 0.500
Pt1 0.139 0.639 0.500
Pt2 0.361 0.139 0.500
Pt3 0.639 0.861 0.500
Pt4 0.861 0.361 0.500

Main lines, low angle first (2θ = 15–90°):
| hkl | 2theta | I/Imax |
| --- | --- | --- |
| 0 0 1 | 19.53 | 18 |
| 2 0 1 | 32.02 | 20 |
| 2 1 1 | 34.49 | 100 |
| 0 0 2 | 39.66 | 26 |
| 3 1 0 | 40.22 | 37 |
| 3 1 1 | 45.09 | 16 |
| 4 1 1 | 57.29 | 11 |
| 3 1 2 | 57.76 | 26 |
| 2 1 3 | 68.65 | 14 |
| 5 2 1 | 75.13 | 12 |